Computed powder diffraction line list of Cs2BaO2 for Cu Kα X-rays, from a cell relaxed with GGA-PBE.

Top 10 peaks for 2θ from 5° to 70°, sorted by position:
- 2θ 25.28, rel. 60, hkl 0 2 0
- 2θ 26.38, rel. 100, hkl 3 1 0
- 2θ 28.02, rel. 18, hkl 0 2 1
- 2θ 28.33, rel. 38, hkl 1 1 2
- 2θ 28.68, rel. 18, hkl 2 0 2
- 2θ 29.08, rel. 49, hkl 1 2 1
- 2θ 31.41, rel. 39, hkl 2 1 2
- 2θ 39.59, rel. 19, hkl 4 0 2
- 2θ 43.31, rel. 18, hkl 2 3 1
- 2θ 46.39, rel. 16, hkl 5 0 2

Cell and atoms:
```
data_Cs2BaO2
_chemical_formula_sum 'Cs8 Ba4 O8'
_cell_length_a 11.546
_cell_length_b 7.056
_cell_length_c 7.392
_cell_angle_alpha 90.00
_cell_angle_beta 90.00
_cell_angle_gamma 90.00
_symmetry_space_group_name_H-M 'P b c n'
_symmetry_Int_Tables_number 60
loop_
_symmetry_equiv_pos_as_xyz
'x,y,z'
'-x,-y,-z'
'-x+1/2,-y+1/2,z+1/2'
'x+1/2,y+1/2,-z+1/2'
'x+1/2,-y+1/2,-z'
'-x+1/2,y+1/2,z'
'-x,y,-z+1/2'
'x,-y,z+1/2'
loop_
_atom_site_label
_atom_site_fract_x
_atom_site_fract_y
_atom_site_fract_z
Cs1 0.160 0.082 0.095
Ba1 0.000 0.476 0.750
O1 0.107 0.309 0.477
```